Record 1
For BaPmC3N6, a structure optimized by DFT (PBE) gives the computed powder XRD pattern in this record (Cu Kα X-rays).
Intensities are scaled so that the largest is 100.

Cell lengths 10.4876, 10.4876, 7.5680 Å; angles 90.00, 90.00, 120.00 degrees
Space group R32 (No. 155, hexagonal axes)
Symmetry-distinct sites (fractional):
Ba (0.0000, 0.0000, 0.0000) x3
Pm (0.0000, 0.0000, 0.5000) x3
C (0.0000, 0.5054, 0.0000) x9
N (0.0960, 0.8932, 0.2883) x18

Largest 10 diffraction maxima, sorted by position, 5 to 70 degrees two-theta:
d_spacing  I/Imax  index
5.244  100.0  1 1 0
3.493  22.4  0 1 2
3.028  17.4  3 0 0
2.907  34.6  2 0 2
2.622  20.1  2 2 0
2.543  32.6  1 2 2
2.097  23.4  3 1 2
1.982  14.1  4 1 0
1.747  14.7  3 3 0
1.513  10.4  1 3 4

=====

Record 2
For LiNdIn4O8, a structure optimized by DFT (PBE) gives the computed powder XRD pattern in this record (Cu Kα X-rays).
Intensities are scaled so that the largest is 100.

Cell lengths 6.6174, 6.6174, 15.7913 Å; angles 90.00, 90.00, 120.00 degrees
Space group R3m (No. 160, hexagonal axes)
Symmetry-distinct sites (fractional):
Li (0.0000, 0.0000, 0.0000) x3
Nd (0.0000, 0.0000, 0.3753) x3
In (0.0000, 0.0000, 0.6112) x3
In (0.1680, 0.3359, 0.8260) x9
O (0.0000, 0.0000, 0.2328) x3
O (0.0000, 0.0000, 0.7476) x3
O (0.0378, 0.5189, 0.7498) x9
O (0.1753, 0.3506, 0.5684) x9

Largest 10 diffraction maxima, sorted by position, 5 to 70 degrees two-theta:
d_spacing  I/Imax  index
5.264  24.2  0 0 3
3.251  71.1  1 0 4
2.819  100.0  0 2 1
2.801  54.8  1 1 3
2.766  36.8  0 1 5
1.899  29.2  2 1 4
1.786  23.7  1 2 5
1.772  22.0  0 2 7
1.654  36.2  2 2 0
1.626  32.3  2 0 8

=====

Record 3
For Pm2Tm3In, a structure optimized by DFT (PBE) gives the computed powder XRD pattern in this record (Cu Kα X-rays).
Intensities are scaled so that the largest is 100.

Cell lengths 5.0902, 9.2627, 15.3730 Å; angles 90.00, 90.00, 90.00 degrees
Space group Imma (No. 74)
Symmetry-distinct sites (fractional):
Pm (0.0000, 0.2500, 0.0257) x4
Pm (0.0000, 0.2500, 0.3244) x4
Tm (0.0000, 0.0000, 0.5000) x4
Tm (0.0000, 0.0436, 0.8293) x8
In (0.0000, 0.2500, 0.6447) x4

Largest 10 diffraction maxima, sorted by position, 5 to 70 degrees two-theta:
d_spacing  I/Imax  index
2.913  12.8  1 1 4
2.848  100.0  1 2 3
2.562  17.2  0 0 6
2.545  22.0  2 0 0
2.316  10.8  0 4 0
1.806  12.2  2 0 6
1.713  8.6  2 4 0
1.586  7.5  1 5 4
1.529  10.3  1 2 9
1.521  15.9  3 2 3

=====

Record 4
For BaTbGa2Pt2, a structure optimized by DFT (PBE) gives the computed powder XRD pattern in this record (Cu Kα X-rays).
Intensities are scaled so that the largest is 100.

Cell lengths 4.4985, 4.4985, 8.1355 Å; angles 90.00, 90.00, 120.00 degrees
Space group P-3m1 (No. 164)
Symmetry-distinct sites (fractional):
Ba (0.0000, 0.0000, 0.0000) x1
Tb (0.0000, 0.0000, 0.5000) x1
Ga (0.3333, 0.6667, 0.7031) x2
Pt (0.3333, 0.6667, 0.3055) x2

Largest 10 diffraction maxima, sorted by position, 5 to 70 degrees two-theta:
d_spacing  I/Imax  index
8.135  29.5  0 0 1
3.514  26.0  0 1 1
2.814  100.0  1 0 2
2.712  9.9  0 0 3
2.249  67.1  1 1 0
2.226  13.5  0 1 3
1.803  9.9  0 1 4
1.757  25.1  0 2 2
1.731  15.7  1 1 3
1.385  22.9  2 1 2

=====

Record 5
For Mg2Sc5Ni2Hg, a structure optimized by DFT (PBE) gives the computed powder XRD pattern in this record (Cu Kα X-rays).
Intensities are scaled so that the largest is 100.

Cell lengths 11.1802, 11.1802, 3.3668 Å; angles 90.00, 90.00, 90.00 degrees
Space group P4/mbm (No. 127)
Symmetry-distinct sites (fractional):
Mg (0.1740, 0.3260, 0.0000) x4
Sc (0.0000, 0.5000, 0.5000) x2
Sc (0.0723, 0.7894, 0.5000) x8
Ni (0.1279, 0.6279, 0.0000) x4
Hg (0.0000, 0.0000, 0.0000) x2

Largest 10 diffraction maxima, sorted by position, 5 to 70 degrees two-theta:
d_spacing  I/Imax  index
7.906  36.2  1 1 0
5.590  44.5  2 0 0
5.000  24.9  2 1 0
3.536  33.8  3 1 0
2.563  28.2  2 2 1
2.500  34.5  4 2 0
2.438  100.0  3 1 1
2.281  18.9  3 2 1
2.193  16.7  5 1 0
1.837  16.5  5 1 1

=====

Record 6
For SrPrAu4, a structure optimized by DFT (PBE) gives the computed powder XRD pattern in this record (Cu Kα X-rays).
Intensities are scaled so that the largest is 100.

Cell lengths 3.7855, 4.9329, 8.0680 Å; angles 90.00, 90.00, 90.00 degrees
Space group Pmmm (No. 47)
Symmetry-distinct sites (fractional):
Sr (0.0000, 0.0000, 0.0000) x1
Pr (0.0000, 0.5000, 0.5000) x1
Au (0.5000, 0.0000, 0.3306) x2
Au (0.5000, 0.5000, 0.1741) x2

Largest 10 diffraction maxima, sorted by position, 5 to 70 degrees two-theta:
d_spacing  I/Imax  index
3.786  44.9  1 0 0
2.814  100.0  1 1 1
2.760  58.2  1 0 2
2.466  50.0  0 2 0
2.361  88.0  0 1 3
2.003  33.2  1 1 3
1.893  22.9  2 0 0
1.839  35.8  1 2 2
1.502  21.8  2 2 0
1.477  41.0  2 1 3

=====

Record 7
For CaAl2Si6O16, a structure optimized by DFT (PBE) gives the computed powder XRD pattern in this record (Cu Kα X-rays).
Intensities are scaled so that the largest is 100.

Cell lengths 4.9953, 8.5374, 8.8241 Å; angles 88.80, 89.52, 88.08 degrees
Space group P1 (No. 1)
Symmetry-distinct sites (fractional):
Ca (0.0000, 0.0000, 0.0000) x1
Al (0.0216, 0.8668, 0.6790) x1
Al (0.7774, 0.7094, 0.1797) x1
Si (0.0922, 0.2411, 0.6668) x1
Si (0.2833, 0.2022, 0.3216) x1
Si (0.2829, 0.8432, 0.3407) x1
Si (0.5309, 0.7419, 0.8534) x1
Si (0.6077, 0.3741, 0.8271) x1
Si (0.7811, 0.3412, 0.1553) x1
O (0.0314, 0.2138, 0.1983) x1
O (0.0519, 0.8319, 0.2082) x1
O (0.1509, 0.8285, 0.5050) x1
O (0.1677, 0.2523, 0.4867) x1
O (0.2257, 0.8167, 0.8409) x1
O (0.3563, 0.2776, 0.7668) x1
O (0.3993, 0.0236, 0.3126) x1
O (0.5130, 0.5493, 0.8718) x1
O (0.5232, 0.3153, 0.2670) x1
O (0.5264, 0.7197, 0.3144) x1
O (0.6649, 0.8097, 0.0089) x1
O (0.7097, 0.2754, 0.9835) x1
O (0.7099, 0.7898, 0.7097) x1
O (0.8539, 0.3720, 0.7041) x1
O (0.8821, 0.5152, 0.1530) x1
O (0.9905, 0.0714, 0.7241) x1

Largest 10 diffraction maxima, sorted by position, 5 to 70 degrees two-theta:
d_spacing  I/Imax  index
8.822  31.5  0 0 1
8.531  19.9  0 1 0
4.411  36.8  0 0 2
4.367  67.4  1 1 0
4.331  20.8  1 0 -1
4.261  100.0  0 2 0
3.890  21.8  1 1 -1
3.829  17.8  -1 1 1
3.318  39.5  1 0 2
3.293  30.8  1 0 -2

=====

Record 8
For AgRhI, a structure optimized by DFT (PBE) gives the computed powder XRD pattern in this record (Cu Kα X-rays).
Intensities are scaled so that the largest is 100.

Cell lengths 13.0540, 3.9615, 5.5703 Å; angles 90.00, 109.81, 90.00 degrees
Space group Cm (No. 8)
Symmetry-distinct sites (fractional):
Ag (0.0000, 0.0000, 0.0000) x2
Ag (0.0793, 0.5000, 0.3904) x2
Rh (0.1452, 0.5000, 0.9488) x2
Rh (0.2290, 0.0000, 0.3155) x2
I (0.2386, 0.0000, 0.8101) x2
I (0.3780, 0.5000, 0.4511) x2

Largest 10 diffraction maxima, sorted by position, 5 to 70 degrees two-theta:
d_spacing  I/Imax  index
6.141  29.2  2 0 0
2.847  100.0  3 1 0
2.793  41.7  3 1 -1
2.620  34.7  0 0 2
2.286  32.0  3 1 1
2.265  35.5  1 1 -2
2.204  56.9  3 1 -2
2.088  28.2  5 1 0
1.981  36.8  0 2 0
1.580  20.8  0 2 2